Simulated XRD peak list of RbFe5O8 for copper Kα, from a cell relaxed with GGA+U.
Intensities are scaled so that the largest is 100.

Main lines, low angle first (10 to 90 degrees two-theta):
two_theta  I (rel.)  index
12.42  25  0 1 1
26.98  100  1 1 -3
27.50  97  0 3 1
28.53  26  0 1 3
29.51  44  2 1 1
34.06  31  3 0 -2
35.19  30  3 1 -2
38.95  22  2 2 2
49.54  32  1 4 -4
49.96  22  2 4 2

Structural model:
```
data_RbFe5O8
_cell_length_a 8.0184
_cell_length_b 10.3018
_cell_length_c 10.5167
_cell_angle_alpha 90.00
_cell_angle_beta 110.31
_cell_angle_gamma 90.00
_space_group_name_H-M_alt 'P 1 21/c 1'
_space_group_IT_number 14
_space_group_name_Hall '-P 2ybc'
loop_
_atom_site_label
_atom_site_type_symbol
_atom_site_fract_x
_atom_site_fract_y
_atom_site_fract_z
Rb1 Rb 0.2493 0.0131 0.4646
Fe1 Fe 0.0387 0.1477 0.0197
Fe2 Fe 0.1395 0.6923 0.2592
Fe3 Fe 0.2470 0.1233 0.7920
Fe4 Fe 0.3627 0.6389 0.5968
Fe5 Fe 0.4325 0.1473 0.1443
O1 O 0.0610 0.2119 0.8552
O2 O 0.0948 0.5198 0.2135
O3 O 0.1614 0.7266 0.4448
O4 O 0.1816 0.5036 0.5760
O5 O 0.2362 0.2432 0.6472
O6 O 0.3595 0.7482 0.2423
O7 O 0.4404 0.1880 0.9609
O8 O 0.4593 0.0142 0.7881
```